[1]
The following is a calculated XRD peak list of LaAlO3. It was derived from the GGA-PBE geometry in the Materials Project, using Cu Kα.

Structure:
```
data_LaAlO3
_chemical_formula_sum 'La8 Al8 O24'
_cell_length_a 7.6641
_cell_length_b 6.0539
_cell_length_c 13.5744
_cell_angle_alpha 90.00
_cell_angle_beta 115.26
_cell_angle_gamma 90.00
_space_group_name_H-M_alt 'P 1 21/c 1'
_space_group_IT_number 14
loop_
_space_group_symop_operation_xyz
'x,y,z'
'-x,-y,-z'
'-x,y+1/2,-z+1/2'
'x,-y+1/2,z+1/2'
loop_
_atom_site_label
_atom_site_fract_x
_atom_site_fract_y
_atom_site_fract_z
_atom_site_occupancy
La1 0.2253 0.1051 0.1310 1
La2 0.2608 0.5915 0.3510 1
Al1 0.1456 0.0949 0.4041 1
Al2 0.4484 0.6354 0.1220 1
O1 0.0013 0.1357 0.6556 1
O2 0.0411 0.1411 0.8986 1
O3 0.2975 0.0988 0.3328 1
O4 0.3064 0.0807 0.5440 1
O5 0.3953 0.6142 0.5475 1
O6 0.4251 0.6793 0.2449 1
```

Main lines, in order of falling intensity (15° ≤ 2θ ≤ 90°):
- 2θ 29.65, intensity 100, hkl 2 1 -3
- 2θ 30.41, intensity 71, hkl 0 2 1
- 2θ 29.10, intensity 71, hkl 0 0 4
- 2θ 16.33, intensity 64, hkl 0 1 1
- 2θ 25.71, intensity 58, hkl 2 0 0
- 2θ 27.78, intensity 53, hkl 2 1 -2
- 2θ 26.29, intensity 50, hkl 0 1 3
- 2θ 38.07, intensity 47, hkl 2 2 -1
- 2θ 20.61, intensity 41, hkl 0 1 2
- 2θ 33.20, intensity 37, hkl 2 1 1
- 2θ 47.69, intensity 28, hkl 0 2 5
- 2θ 46.10, intensity 26, hkl 2 2 -5

[2]
The following is a calculated XRD peak list of La4Al2O9. It was derived from the GGA-PBE geometry in the Materials Project, using Cu Kα.

Structure:
```
data_La4Al2O9
_chemical_formula_sum 'La4 Al2 O9'
_cell_length_a 5.5886
_cell_length_b 6.4203
_cell_length_c 7.4787
_cell_angle_alpha 88.66
_cell_angle_beta 85.59
_cell_angle_gamma 88.99
_space_group_name_H-M_alt 'P 1'
_space_group_IT_number 1
loop_
_space_group_symop_operation_xyz
'x,y,z'
loop_
_atom_site_label
_atom_site_fract_x
_atom_site_fract_y
_atom_site_fract_z
_atom_site_occupancy
La1 0.0000 0.0000 0.0000 1
La2 0.0271 0.8126 0.5195 1
La3 0.5630 0.5102 0.8598 1
La4 0.6004 0.2578 0.3546 1
Al1 0.0919 0.4610 0.1375 1
Al2 0.0951 0.3328 0.5668 1
O1 0.2192 0.6949 0.0527 1
O2 0.2643 0.1007 0.5270 1
O3 0.3060 0.5214 0.6184 1
O4 0.3115 0.2625 0.0880 1
O5 0.8126 0.2815 0.6720 1
O6 0.8127 0.9672 0.2882 1
O7 0.8145 0.7966 0.7909 1
O8 0.8205 0.3594 0.0692 1
O9 0.9977 0.4689 0.3699 1
```

Main lines, in order of falling intensity (15° ≤ 2θ ≤ 90°):
- 2θ 20.95, intensity 100, hkl 1 1 0
- 2θ 29.84, intensity 76, hkl 1 0 -2
- 2θ 23.98, intensity 68, hkl 1 -1 1
- 2θ 27.76, intensity 64, hkl 1 0 2
- 2θ 34.87, intensity 59, hkl -1 2 1
- 2θ 21.28, intensity 54, hkl 1 -1 0
- 2θ 24.90, intensity 52, hkl 1 1 -1
- 2θ 30.57, intensity 47, hkl 0 2 -1
- 2θ 30.07, intensity 40, hkl 0 2 1
- 2θ 32.13, intensity 38, hkl 2 0 0
- 2θ 23.36, intensity 37, hkl 1 1 1
- 2θ 47.48, intensity 34, hkl 1 2 3

[3]
The following is a calculated XRD peak list of La4Al2O9. It was derived from the GGA-PBE geometry in the Materials Project, using Cu Kα.

Structure:
```
data_La4Al2O9
_chemical_formula_sum 'La16 Al8 O36'
_cell_length_a 7.9517
_cell_length_b 11.1364
_cell_length_c 11.6036
_cell_angle_alpha 90.00
_cell_angle_beta 109.47
_cell_angle_gamma 90.00
_space_group_name_H-M_alt 'P 1 21/c 1'
_space_group_IT_number 14
loop_
_space_group_symop_operation_xyz
'x,y,z'
'-x,-y,-z'
'-x,y+1/2,-z+1/2'
'x,-y+1/2,z+1/2'
loop_
_atom_site_label
_atom_site_fract_x
_atom_site_fract_y
_atom_site_fract_z
_atom_site_occupancy
La1 0.0245 0.1006 0.2902 1
La2 0.1650 0.6253 0.5705 1
La3 0.3370 0.1242 0.9162 1
La4 0.4743 0.5877 0.1903 1
Al1 0.1494 0.1861 0.6187 1
Al2 0.2746 0.6882 0.8711 1
O1 0.0657 0.7356 0.8825 1
O2 0.0678 0.0070 0.8961 1
O3 0.1385 0.2287 0.4689 1
O4 0.1986 0.0347 0.6673 1
O5 0.2694 0.7276 0.2384 1
O6 0.2825 0.2259 0.2449 1
O7 0.2827 0.5342 0.8356 1
O8 0.4195 0.7335 0.0163 1
O9 0.4236 0.0028 0.1062 1
```

Main lines, in order of falling intensity (15° ≤ 2θ ≤ 90°):
- 2θ 27.57, intensity 100, hkl 2 2 -1
- 2θ 29.27, intensity 55, hkl 0 2 3
- 2θ 29.06, intensity 40, hkl 0 3 2
- 2θ 18.07, intensity 28, hkl 0 1 2
- 2θ 25.71, intensity 21, hkl 0 1 3
- 2θ 33.18, intensity 19, hkl 2 0 2
- 2θ 45.64, intensity 19, hkl 4 0 -2
- 2θ 28.75, intensity 17, hkl 2 1 1
- 2θ 47.13, intensity 16, hkl 2 4 -4
- 2θ 46.87, intensity 15, hkl 2 4 2
- 2θ 42.09, intensity 15, hkl 0 1 5
- 2θ 54.90, intensity 13, hkl 4 2 1

[4]
The following is a calculated XRD peak list of LaAlO3. It was derived from the GGA-PBE geometry in the Materials Project, using Cu Kα.

Structure:
```
data_LaAlO3
_chemical_formula_sum 'La12 Al12 O36'
_cell_length_a 8.8016
_cell_length_b 8.9266
_cell_length_c 10.7617
_cell_angle_alpha 90.00
_cell_angle_beta 100.64
_cell_angle_gamma 90.00
_space_group_name_H-M_alt 'P 1 21/c 1'
_space_group_IT_number 14
loop_
_space_group_symop_operation_xyz
'x,y,z'
'-x,-y,-z'
'-x,y+1/2,-z+1/2'
'x,-y+1/2,z+1/2'
loop_
_atom_site_label
_atom_site_fract_x
_atom_site_fract_y
_atom_site_fract_z
_atom_site_occupancy
La1 0.0135 0.0655 0.1694 1
La2 0.3305 0.6404 0.9430 1
La3 0.4563 0.0272 0.1733 1
Al1 0.1792 0.7459 0.6618 1
Al2 0.2298 0.0906 0.6426 1
Al3 0.2936 0.2343 0.9206 1
O1 0.0765 0.6920 0.7818 1
O2 0.1238 0.5769 0.0997 1
O3 0.1573 0.6021 0.5459 1
O4 0.1996 0.2357 0.0580 1
O5 0.2429 0.0837 0.8103 1
O6 0.2665 0.0987 0.3257 1
O7 0.3750 0.7414 0.7423 1
O8 0.4173 0.0379 0.6104 1
O9 0.4850 0.1667 0.9858 1
```

Main lines, in order of falling intensity (15° ≤ 2θ ≤ 90°):
- 2θ 31.26, intensity 100, hkl 2 1 -3
- 2θ 28.86, intensity 90, hkl 2 2 -1
- 2θ 25.67, intensity 90, hkl 2 1 1
- 2θ 27.20, intensity 87, hkl 0 1 3
- 2θ 28.74, intensity 69, hkl 2 2 0
- 2θ 24.63, intensity 54, hkl 1 2 1
- 2θ 35.21, intensity 48, hkl 3 1 1
- 2θ 47.34, intensity 44, hkl 2 3 3
- 2θ 28.98, intensity 43, hkl 2 0 2
- 2θ 34.59, intensity 40, hkl 0 3 2
- 2θ 15.56, intensity 36, hkl 1 1 -1
- 2θ 42.12, intensity 32, hkl 4 0 -2

[5]
The following is a calculated XRD peak list of Sr3LaTaAl3O12. It was derived from the GGA-PBE geometry in the Materials Project, using Cu Kα.

Structure:
```
data_Sr3LaTaAl3O12
_chemical_formula_sum 'Sr6 La2 Ta2 Al6 O24'
_cell_length_a 3.9182
_cell_length_b 10.9484
_cell_length_c 10.9909
_cell_angle_alpha 90.00
_cell_angle_beta 90.00
_cell_angle_gamma 90.00
_space_group_name_H-M_alt 'A m m 2'
_space_group_IT_number 38
loop_
_space_group_symop_operation_xyz
'x,y,z'
'-x,-y,z'
'-x,y,z'
'x,-y,z'
'x,y+1/2,z+1/2'
'-x,-y+1/2,z+1/2'
'-x,y+1/2,z+1/2'
'x,-y+1/2,z+1/2'
loop_
_atom_site_label
_atom_site_fract_x
_atom_site_fract_y
_atom_site_fract_z
_atom_site_occupancy
Sr1 0.0000 0.0000 0.0000 1
Sr2 0.0000 0.2387 0.7638 1
La1 0.0000 0.0000 0.5287 1
Ta1 0.5000 0.0000 0.2609 1
Al1 0.5000 0.0000 0.7662 1
Al2 0.5000 0.2489 0.0121 1
O1 0.0000 0.0000 0.2662 1
O2 0.0000 0.0000 0.7585 1
O3 0.0000 0.2453 0.5137 1
O4 0.5000 0.1209 0.6346 1
O5 0.5000 0.1241 0.3928 1
O6 0.5000 0.1252 0.8875 1
O7 0.5000 0.1285 0.1365 1
```

Main lines, in order of falling intensity (15° ≤ 2θ ≤ 90°):
- 2θ 32.48, intensity 100, hkl 1 2 2
- 2θ 46.85, intensity 35, hkl 0 4 4
- 2θ 32.72, intensity 24, hkl 0 4 0
- 2θ 32.59, intensity 24, hkl 0 0 4
- 2θ 68.02, intensity 21, hkl 2 4 4
- 2θ 57.84, intensity 20, hkl 2 4 0
- 2θ 16.18, intensity 19, hkl 0 2 0
- 2θ 25.47, intensity 19, hkl 1 1 1
- 2θ 46.35, intensity 19, hkl 2 0 0
- 2θ 25.67, intensity 19, hkl 0 1 3
- 2θ 58.25, intensity 19, hkl 1 6 2
- 2θ 58.08, intensity 18, hkl 1 2 6

[6]
The following is a calculated XRD peak list of Sr6La2Ta3Al5O24. It was derived from the GGA-PBE geometry in the Materials Project, using Cu Kα.

Structure:
```
data_Sr6La2Ta3Al5O24
_chemical_formula_sum 'Sr18 La6 Ta9 Al15 O72'
_cell_length_a 5.5159
_cell_length_b 5.5159
_cell_length_c 54.1657
_cell_angle_alpha 90.00
_cell_angle_beta 90.00
_cell_angle_gamma 120.00
_space_group_name_H-M_alt 'R -3 m'
_space_group_IT_number 166
_space_group_name_Hall '-R 3 2"'
loop_
_atom_site_label
_atom_site_fract_x
_atom_site_fract_y
_atom_site_fract_z
_atom_site_occupancy
Sr1 0.0000 0.0000 0.0602 1
Sr2 0.0000 0.0000 0.1875 1
Sr3 0.0000 0.0000 0.4373 1
La1 0.0000 0.0000 0.3147 1
Ta1 0.0000 0.0000 0.2503 1
Ta2 0.0000 0.0000 0.5000 1
Al1 0.0000 0.0000 0.0000 1
Al2 0.0000 0.0000 0.1248 1
Al3 0.0000 0.0000 0.3739 1
O1 0.0040 0.5020 0.0612 1
O2 0.0053 0.5026 0.3135 1
O3 0.0055 0.5028 0.5623 1
O4 0.0062 0.5031 0.8121 1
```

Main lines, in order of falling intensity (15° ≤ 2θ ≤ 90°):
- 2θ 32.44, intensity 100, hkl 1 1 0
- 2θ 46.53, intensity 34, hkl 0 2 16
- 2θ 57.85, intensity 29, hkl 2 1 16
- 2θ 19.70, intensity 25, hkl 0 0 12
- 2θ 77.30, intensity 17, hkl 1 3 16
- 2θ 38.24, intensity 15, hkl 1 1 12
- 2θ 67.98, intensity 10, hkl 2 2 0
- 2θ 57.91, intensity 10, hkl 3 0 0
- 2θ 67.87, intensity 10, hkl 2 0 32
- 2θ 40.01, intensity 5, hkl 2 0 8
- 2θ 86.40, intensity 5, hkl 4 0 16
- 2θ 18.86, intensity 5, hkl 0 1 2